No. 1
Theoretical powder X-ray diffraction pattern of CeHfAl2 for Cu Ka, from a GGA-PBE-relaxed structure.
Lines closer than 0.1° are merged.

Main lines, low angle first (10 to 90 degrees two-theta):
2θ = 20.4°, I 49; 2θ = 28.5°, I 43; 2θ = 35.3°, I 100; 2θ = 40.8°, I 34; 2θ = 41.5°, I 16; 2θ = 46.0°, I 24; 2θ = 51.2°, I 18; 2θ = 59.6°, I 22; 2θ = 70.7°, I 26; 2θ = 71.8°, I 13

Crystal structure
Cell lengths 4.424, 4.424, 4.349 Å; angles 90.00, 90.00, 90.00 degrees
Space group P4/mmm (No. 123)
Symmetry-distinct sites (fractional):
Ce (0.000, 0.000, 0.000) [1 per cell]
Hf (0.500, 0.500, 0.000) [1 per cell]
Al (0.000, 0.500, 0.500) [2 per cell]

No. 2
Theoretical powder X-ray diffraction pattern of Li7Mg3Ga2 for Cu Ka, from a GGA-PBE-relaxed structure.
Lines closer than 0.1° are merged.

Main lines, low angle first (10 to 90 degrees two-theta):
2θ = 11.2°, I 100; 2θ = 16.8°, I 73; 2θ = 19.3°, I 40; 2θ = 27.4°, I 25; 2θ = 34.9°, I 36; 2θ = 35.8°, I 25; 2θ = 35.9°, I 25; 2θ = 36.9°, I 25; 2θ = 38.7°, I 27; 2θ = 40.4°, I 29

Crystal structure
Cell lengths 4.648, 3.099, 15.941 Å; angles 90.00, 97.72, 90.00 degrees
Space group P2/m (No. 10)
Symmetry-distinct sites (fractional):
Li (0.000, 0.000, 0.000) [1 per cell]
Li (0.103, 0.500, 0.183) [2 per cell]
Li (0.271, 0.500, 0.545) [2 per cell]
Li (0.410, 0.000, 0.849) [2 per cell]
Mg (0.182, 0.000, 0.358) [2 per cell]
Mg (0.500, 0.500, 0.000) [1 per cell]
Ga (0.349, 0.500, 0.712) [2 per cell]

No. 3
Theoretical powder X-ray diffraction pattern of Sm2Er4Tl for Cu Ka, from a GGA-PBE-relaxed structure.
Lines closer than 0.1° are merged.

Main lines, low angle first (10 to 90 degrees two-theta):
2θ = 26.9°, I 31; 2θ = 30.5°, I 71; 2θ = 31.3°, I 62; 2θ = 31.5°, I 48; 2θ = 31.9°, I 100; 2θ = 32.5°, I 74; 2θ = 33.2°, I 40; 2θ = 33.5°, I 45; 2θ = 34.6°, I 30; 2θ = 55.4°, I 31

Crystal structure
Cell lengths 5.869, 6.628, 11.380 Å; angles 90.00, 103.71, 90.00 degrees
Space group P2_1/m (No. 11)
Symmetry-distinct sites (fractional):
Sm (0.058, 0.250, 0.477) [2 per cell]
Sm (0.338, 0.750, 0.068) [2 per cell]
Er (0.162, 0.009, 0.788) [4 per cell]
Er (0.211, 0.250, 0.070) [2 per cell]
Er (0.374, 0.750, 0.368) [2 per cell]
Tl (0.484, 0.250, 0.342) [2 per cell]